Entry 1:
The following is a computed powder diffraction line list of CaCdCu. It was derived from a DFT-relaxed cell (GGA-PBE, Alexandria), using a wavelength of 1.5418 Å.

Most intense lines, 10 to 90 degrees two-theta, low angle first:
2θ 16.4, intensity 495
2θ 22.1, intensity 343
2θ 23.8, intensity 374
2θ 32.2, intensity 842
2θ 32.7, intensity 1000
2θ 33.2, intensity 269
2θ 37.9, intensity 593
2θ 38.2, intensity 620
2θ 39.7, intensity 808
2θ 46.8, intensity 288
2θ 47.4, intensity 406
2θ 54.9, intensity 382

Crystal structure
Cell: 4.7108 7.7822 7.4744 Å, 90.00 90.00 90.00°
Fractional coordinates of all 12 atoms:
Ca  0.2500  0.1963  0.0000
Ca  0.2500  0.3037  0.5000
Ca  0.7500  0.6963  0.5000
Ca  0.7500  0.8037  0.0000
Cd  0.2500  0.6062  0.1905
Cd  0.2500  0.8938  0.6905
Cd  0.7500  0.1062  0.6905
Cd  0.7500  0.3938  0.1905
Cu  0.2500  0.5668  0.8128
Cu  0.2500  0.9332  0.3128
Cu  0.7500  0.0668  0.3128
Cu  0.7500  0.4332  0.8128

---

Entry 2:
The following is a computed powder diffraction line list of Tm6In5Au. It was derived from a DFT-relaxed cell (GGA-PBE, Alexandria), using a wavelength of 1.5418 Å.

Most intense lines, 10 to 90 degrees two-theta, low angle first:
2θ 34.3, intensity 503
2θ 34.3, intensity 1000
2θ 49.2, intensity 179
2θ 49.5, intensity 88
2θ 61.4, intensity 365
2θ 61.6, intensity 181
2θ 72.1, intensity 27
2θ 72.3, intensity 29
2θ 72.4, intensity 111
2θ 82.3, intensity 39
2θ 82.4, intensity 119
2θ 82.8, intensity 78

Crystal structure
Cell: 8.2855 8.2855 7.3669 Å, 90.00 90.00 143.20°
Fractional coordinates of all 12 atoms:
Tm  0.0000  0.0000  0.2407
Tm  0.0000  0.0000  0.7593
Tm  0.3385  0.6615  0.2457
Tm  0.3385  0.6615  0.7543
Tm  0.6615  0.3385  0.2457
Tm  0.6615  0.3385  0.7543
In  0.1687  0.8313  0.0000
In  0.1690  0.8310  0.5000
In  0.5000  0.5000  0.5000
In  0.8313  0.1687  0.0000
In  0.8310  0.1690  0.5000
Au  0.5000  0.5000  0.0000

---

Entry 3:
The following is a computed powder diffraction line list of POs5. It was derived from a DFT-relaxed cell (GGA-PBE, Alexandria), using a wavelength of 1.5418 Å.

Most intense lines, 10 to 90 degrees two-theta, low angle first:
2θ 12.4, intensity 159
2θ 24.2, intensity 105
2θ 37.4, intensity 264
2θ 37.9, intensity 126
2θ 42.1, intensity 354
2θ 43.1, intensity 1000
2θ 43.6, intensity 480
2θ 57.6, intensity 154
2θ 68.1, intensity 167
2θ 77.7, intensity 182
2θ 83.4, intensity 196
2θ 83.6, intensity 151

Crystal structure
Cell: 4.2879 2.7867 14.2491 Å, 90.00 90.00 90.00°
Fractional coordinates of all 12 atoms:
P  0.0000  0.0000  0.0000
P  0.0000  0.5000  0.5000
Os  0.0000  0.0000  0.3417
Os  0.0000  0.0000  0.6801
Os  0.0000  0.5000  0.1801
Os  0.0000  0.5000  0.8417
Os  0.5000  0.0000  0.1166
Os  0.5000  0.0000  0.4561
Os  0.5000  0.0000  0.7909
Os  0.5000  0.5000  0.2909
Os  0.5000  0.5000  0.6166
Os  0.5000  0.5000  0.9561

---

Entry 4:
The following is a computed powder diffraction line list of KTl2As2O7. It was derived from a DFT-relaxed cell (GGA-PBE, Alexandria), using a wavelength of 1.5418 Å.

Most intense lines, 10 to 90 degrees two-theta, low angle first:
2θ 11.0, intensity 595
2θ 19.0, intensity 201
2θ 25.5, intensity 1000
2θ 30.6, intensity 688
2θ 32.6, intensity 349
2θ 34.6, intensity 169
2θ 40.2, intensity 246
2θ 41.5, intensity 186
2θ 45.9, intensity 146
2θ 51.3, intensity 265
2θ 54.3, intensity 183
2θ 69.7, intensity 123

Crystal structure
Cell: 8.7157 8.7157 8.7157 Å, 39.21 39.21 39.21°
Fractional coordinates of all 12 atoms:
K  0.0000  0.0000  0.0000
Tl  0.2040  0.2040  0.2040
Tl  0.7960  0.7960  0.7960
As  0.4257  0.4257  0.4257
As  0.5743  0.5743  0.5743
O  0.1142  0.4321  0.6763
O  0.3237  0.5679  0.8858
O  0.4321  0.6763  0.1142
O  0.5000  0.5000  0.5000
O  0.5679  0.8858  0.3237
O  0.6763  0.1142  0.4321
O  0.8858  0.3237  0.5679

---

Entry 5:
The following is a computed powder diffraction line list of Pr6Ga3Pt. It was derived from a DFT-relaxed cell (GGA-PBE, Alexandria), using a wavelength of 1.5418 Å.

Most intense lines, 10 to 90 degrees two-theta, low angle first:
2θ 19.6, intensity 92
2θ 29.7, intensity 722
2θ 34.3, intensity 1000
2θ 35.8, intensity 436
2θ 46.0, intensity 289
2θ 50.5, intensity 165
2θ 57.9, intensity 125
2θ 58.7, intensity 193
2θ 61.5, intensity 185
2θ 62.4, intensity 173
2θ 65.3, intensity 88
2θ 72.3, intensity 112

Crystal structure
Cell: 9.0449 12.0465 5.2279 Å, 90.00 90.00 90.00°
Fractional coordinates of all 20 atoms:
Pr  0.0027  0.2486  0.0000
Pr  0.1632  0.0856  0.5000
Pr  0.1737  0.4207  0.5000
Pr  0.3263  0.9207  0.0000
Pr  0.3368  0.5856  0.0000
Pr  0.4973  0.7486  0.5000
Pr  0.5027  0.2514  0.5000
Pr  0.6632  0.4144  0.0000
Pr  0.6737  0.0793  0.0000
Pr  0.8263  0.5793  0.5000
Pr  0.8368  0.9144  0.5000
Pr  0.9973  0.7514  0.0000
Ga  0.0000  0.5000  0.0000
Ga  0.1627  0.7264  0.5000
Ga  0.3373  0.2264  0.0000
Ga  0.5000  0.0000  0.5000
Ga  0.6627  0.7736  0.0000
Ga  0.8373  0.2736  0.5000
Pt  0.0000  0.0000  0.0000
Pt  0.5000  0.5000  0.5000

---

Entry 6:
The following is a computed powder diffraction line list of TbFe5C2. It was derived from a DFT-relaxed cell (GGA-PBE, Alexandria), using a wavelength of 1.5418 Å.

Most intense lines, 10 to 90 degrees two-theta, low angle first:
2θ 30.1, intensity 346
2θ 35.4, intensity 881
2θ 40.4, intensity 1000
2θ 42.4, intensity 964
2θ 43.8, intensity 196
2θ 52.6, intensity 266
2θ 54.8, intensity 238
2θ 55.7, intensity 201
2θ 65.6, intensity 124
2θ 66.9, intensity 268
2θ 69.8, intensity 168
2θ 79.4, intensity 150

Crystal structure
Cell: 3.3530 6.4034 8.2912 Å, 90.00 90.00 90.00°
Fractional coordinates of all 16 atoms:
Tb  0.0000  0.0000  0.0000
Tb  0.5000  0.5000  0.5000
Fe  0.0000  0.1863  0.3367
Fe  0.0000  0.1863  0.6633
Fe  0.0000  0.5000  0.0000
Fe  0.0000  0.8137  0.3367
Fe  0.0000  0.8137  0.6633
Fe  0.5000  0.0000  0.5000
Fe  0.5000  0.3137  0.1633
Fe  0.5000  0.3137  0.8367
Fe  0.5000  0.6863  0.1633
Fe  0.5000  0.6863  0.8367
C  0.0000  0.5000  0.2452
C  0.0000  0.5000  0.7548
C  0.5000  0.0000  0.2548
C  0.5000  0.0000  0.7452

---

Entry 7:
The following is a computed powder diffraction line list of AgRuF6. It was derived from a DFT-relaxed cell (GGA-PBE, Alexandria), using a wavelength of 1.5418 Å.

Most intense lines, 10 to 90 degrees two-theta, low angle first:
2θ 19.0, intensity 190
2θ 21.0, intensity 585
2θ 25.9, intensity 1000
2θ 32.6, intensity 197
2θ 33.3, intensity 249
2θ 37.8, intensity 120
2θ 39.7, intensity 115
2θ 42.6, intensity 225
2θ 49.2, intensity 429
2θ 52.7, intensity 93
2θ 55.1, intensity 229
2θ 59.5, intensity 149

Crystal structure
Cell: 5.3834 5.3834 10.1982 Å, 90.00 90.00 120.00°
Fractional coordinates of all 16 atoms:
Ag  0.3333  0.6667  0.2500
Ag  0.6667  0.3333  0.7500
Ru  0.0000  0.0000  0.0000
Ru  0.0000  0.0000  0.5000
F  0.0025  0.2902  0.6089
F  0.0025  0.7124  0.8911
F  0.2876  0.2902  0.8911
F  0.2876  0.9975  0.6089
F  0.2902  0.0025  0.1089
F  0.2902  0.2876  0.3911
F  0.7098  0.7124  0.6089
F  0.7098  0.9975  0.8911
F  0.7124  0.0025  0.3911
F  0.7124  0.7098  0.1089
F  0.9975  0.2876  0.1089
F  0.9975  0.7098  0.3911

---

Entry 8:
The following is a computed powder diffraction line list of Zr2CdAu3. It was derived from a DFT-relaxed cell (GGA-PBE, Alexandria), using a wavelength of 1.5418 Å.

Most intense lines, 10 to 90 degrees two-theta, low angle first:
2θ 24.1, intensity 74
2θ 27.1, intensity 112
2θ 36.6, intensity 1000
2θ 38.7, intensity 428
2θ 46.1, intensity 59
2θ 49.3, intensity 106
2θ 55.9, intensity 147
2θ 64.4, intensity 190
2θ 68.7, intensity 316
2θ 77.7, intensity 112
2θ 83.1, intensity 48
2θ 83.8, intensity 93

Crystal structure
Cell: 3.2890 3.2890 11.0923 Å, 90.00 90.00 90.00°
Fractional coordinates of all 6 atoms:
Zr  0.0000  0.0000  0.1703
Zr  0.0000  0.0000  0.8297
Cd  0.0000  0.0000  0.5000
Au  0.5000  0.5000  0.0000
Au  0.5000  0.5000  0.3312
Au  0.5000  0.5000  0.6688

---

Entry 9:
The following is a computed powder diffraction line list of BaF. It was derived from a DFT-relaxed cell (GGA-PBE, Alexandria), using a wavelength of 1.5418 Å.

Most intense lines, 10 to 90 degrees two-theta, low angle first:
2θ 16.5, intensity 718
2θ 23.4, intensity 157
2θ 26.3, intensity 1000
2θ 28.8, intensity 372
2θ 37.5, intensity 181
2θ 41.2, intensity 412
2θ 43.0, intensity 272
2θ 44.7, intensity 216
2θ 47.9, intensity 196
2θ 55.5, intensity 263
2θ 66.3, intensity 239
2θ 84.7, intensity 148

Crystal structure
Cell: 7.5907 7.5907 7.5907 Å, 90.00 90.00 90.00°
Fractional coordinates of all 12 atoms:
Ba  0.0000  0.2500  0.5000
Ba  0.0000  0.7500  0.5000
Ba  0.2500  0.5000  0.0000
Ba  0.5000  0.0000  0.2500
Ba  0.5000  0.0000  0.7500
Ba  0.7500  0.5000  0.0000
F  0.0000  0.5000  0.2500
F  0.0000  0.5000  0.7500
F  0.2500  0.0000  0.5000
F  0.5000  0.2500  0.0000
F  0.5000  0.7500  0.0000
F  0.7500  0.0000  0.5000

---

Entry 10:
The following is a computed powder diffraction line list of TlCd2Hg. It was derived from a DFT-relaxed cell (GGA-PBE, Alexandria), using a wavelength of 1.5418 Å.

Most intense lines, 10 to 90 degrees two-theta, low angle first:
2θ 16.1, intensity 211
2θ 31.2, intensity 653
2θ 32.6, intensity 583
2θ 34.5, intensity 1000
2θ 35.9, intensity 904
2θ 45.8, intensity 456
2θ 55.2, intensity 130
2θ 56.8, intensity 249
2θ 59.5, intensity 415
2θ 60.3, intensity 199
2θ 65.6, intensity 168
2θ 72.9, intensity 114

Crystal structure
Cell: 6.4802 10.9868 3.3943 Å, 90.00 119.78 90.00°
Fractional coordinates of all 8 atoms:
Tl  0.0000  0.0000  0.0000
Tl  0.5000  0.5000  0.0000
Cd  0.2500  0.2500  0.5000
Cd  0.2500  0.7500  0.5000
Cd  0.7500  0.2500  0.5000
Cd  0.7500  0.7500  0.5000
Hg  0.0000  0.5000  0.0000
Hg  0.5000  0.0000  0.0000

---

Entry 11:
The following is a computed powder diffraction line list of Pr3Se2I2. It was derived from a DFT-relaxed cell (GGA-PBE, Alexandria), using a wavelength of 1.5418 Å.

Most intense lines, 10 to 90 degrees two-theta, low angle first:
2θ 11.3, intensity 133
2θ 21.9, intensity 118
2θ 27.8, intensity 486
2θ 29.5, intensity 1000
2θ 32.5, intensity 186
2θ 34.7, intensity 149
2θ 40.3, intensity 298
2θ 41.7, intensity 512
2θ 42.7, intensity 175
2θ 51.7, intensity 171
2θ 52.2, intensity 93
2θ 61.3, intensity 102

Crystal structure
Cell: 4.2329 7.4125 7.9243 Å, 81.31 89.99 73.42°
Fractional coordinates of all 7 atoms:
Pr  0.0000  0.0000  0.0000
Pr  0.2497  0.5015  0.7998
Pr  0.7503  0.4985  0.2002
Se  0.3835  0.2323  0.1345
Se  0.6165  0.7677  0.8655
I  0.1237  0.7519  0.3876
I  0.8763  0.2481  0.6124

---

Entry 12:
The following is a computed powder diffraction line list of UP2Ru3. It was derived from a DFT-relaxed cell (GGA-PBE, Alexandria), using a wavelength of 1.5418 Å.

Most intense lines, 10 to 90 degrees two-theta, low angle first:
2θ 29.7, intensity 175
2θ 32.0, intensity 176
2θ 32.8, intensity 467
2θ 35.9, intensity 180
2θ 36.7, intensity 396
2θ 36.8, intensity 1000
2θ 38.1, intensity 260
2θ 41.9, intensity 191
2θ 44.5, intensity 160
2θ 45.7, intensity 181
2θ 47.1, intensity 381
2θ 80.6, intensity 180

Crystal structure
Cell: 8.1608 8.1608 9.5325 Å, 108.49 108.49 27.36°
Fractional coordinates of all 18 atoms:
U  0.0000  0.0000  0.0000
U  0.1576  0.1576  0.6974
U  0.8424  0.8424  0.3026
P  0.1955  0.1955  0.1273
P  0.3644  0.3644  0.5509
P  0.4605  0.4605  0.2243
P  0.5395  0.5395  0.7757
P  0.6356  0.6356  0.4491
P  0.8045  0.8045  0.8727
Ru  0.0425  0.0425  0.3256
Ru  0.2238  0.2238  0.3882
Ru  0.3204  0.3204  0.0486
Ru  0.3801  0.3801  0.8073
Ru  0.5000  0.5000  0.5000
Ru  0.6199  0.6199  0.1927
Ru  0.6796  0.6796  0.9514
Ru  0.7762  0.7762  0.6118
Ru  0.9575  0.9575  0.6744